# KBa4P2
Computed PXRD pattern, λ = 1.5418 Å (Cu Kα). Input: a structure optimized by DFT (GGA-PBE).

Crystal structure
Unit cell a=23.2971 b=4.6802 c=8.0406 alpha=90.00 beta=105.39 gamma=90.00
Element x y z (fractional)
1 K 0.0000 0.0000 0.0000
2 K 0.5000 0.5000 0.0000
3 Ba 0.1712 0.0000 0.5168
4 Ba 0.1770 0.5000 0.0344
5 Ba 0.3230 0.0000 0.9656
6 Ba 0.3288 0.5000 0.4832
7 Ba 0.6712 0.5000 0.5168
8 Ba 0.6770 0.0000 0.0344
9 Ba 0.8230 0.5000 0.9656
10 Ba 0.8288 0.0000 0.4832
11 P 0.2455 0.5000 0.7414
12 P 0.2545 0.0000 0.2586
13 P 0.7455 0.0000 0.7414
14 P 0.7545 0.5000 0.2586

The 10 most intense peaks (10° ≤ 2θ ≤ 90°), in order of rising 2θ:
- 2θ = 22.94°, intensity 33.0, hkl 0 0 2
- 2θ = 23.73°, intensity 100.0, hkl 3 1 -1
- 2θ = 24.19°, intensity 15.3, hkl 4 0 -2
- 2θ = 26.63°, intensity 74.4, hkl 3 1 1
- 2θ = 28.41°, intensity 34.3, hkl 6 0 -2
- 2θ = 31.90°, intensity 29.9, hkl 5 1 1
- 2θ = 38.47°, intensity 14.9, hkl 0 2 0
- 2θ = 38.82°, intensity 26.1, hkl 3 1 -3
- 2θ = 39.85°, intensity 25.2, hkl 9 1 -1
- 2θ = 48.51°, intensity 15.1, hkl 6 2 -2

***

# Ac2La3Pr3
Computed PXRD pattern, λ = 1.5418 Å (Cu Kα). Input: a structure optimized by DFT (GGA-PBE).

Crystal structure
Unit cell a=21.9476 b=5.3809 c=5.3828 alpha=90.00 beta=104.12 gamma=90.00
Element x y z (fractional)
1 Ac 0.2493 0.0000 0.2492
2 Ac 0.2507 0.5000 0.7508
3 Ac 0.7493 0.5000 0.2492
4 Ac 0.7507 0.0000 0.7508
5 La 0.0000 0.0000 0.0000
6 La 0.1201 0.0000 0.6201
7 La 0.3799 0.5000 0.3799
8 La 0.5000 0.5000 0.0000
9 La 0.6201 0.5000 0.6201
10 La 0.8799 0.0000 0.3799
11 Pr 0.0000 0.5000 0.5000
12 Pr 0.1211 0.5000 0.1211
13 Pr 0.3789 0.0000 0.8789
14 Pr 0.5000 0.0000 0.5000
15 Pr 0.6211 0.0000 0.1211
16 Pr 0.8789 0.5000 0.8789

The 10 most intense peaks (10° ≤ 2θ ≤ 90°), in order of rising 2θ:
- 2θ = 28.84°, intensity 100.0, hkl 3 1 1
- 2θ = 33.30°, intensity 34.6, hkl 0 2 0
- 2θ = 33.69°, intensity 16.4, hkl 8 0 0
- 2θ = 47.80°, intensity 12.7, hkl 2 2 -2
- 2θ = 48.09°, intensity 24.3, hkl 8 2 0
- 2θ = 56.79°, intensity 30.2, hkl 3 3 1
- 2θ = 57.31°, intensity 14.1, hkl 11 1 1
- 2θ = 59.75°, intensity 12.7, hkl 6 2 2
- 2θ = 77.75°, intensity 8.7, hkl 11 3 1
- 2θ = 89.34°, intensity 6.6, hkl 6 4 2

***

# KHgSb4
Computed PXRD pattern, λ = 1.5418 Å (Cu Kα). Input: a structure optimized by DFT (GGA-PBE).

Crystal structure
Unit cell a=13.3938 b=4.9887 c=6.7078 alpha=90.00 beta=119.97 gamma=90.00
Element x y z (fractional)
1 K 0.0000 0.0000 0.0000
2 K 0.5000 0.5000 0.0000
3 Hg 0.0000 0.0000 0.5000
4 Hg 0.5000 0.5000 0.5000
5 Sb 0.1794 0.5000 0.4651
6 Sb 0.1794 0.5000 0.8940
7 Sb 0.3206 0.0000 0.1060
8 Sb 0.3206 0.0000 0.5349
9 Sb 0.6794 0.0000 0.4651
10 Sb 0.6794 0.0000 0.8940
11 Sb 0.8206 0.5000 0.1060
12 Sb 0.8206 0.5000 0.5349

The 10 most intense peaks (10° ≤ 2θ ≤ 90°), in order of rising 2θ:
- 2θ = 15.26°, intensity 38.8, hkl 0 0 1
- 2θ = 27.06°, intensity 24.3, hkl 1 1 1
- 2θ = 29.22°, intensity 100.0, hkl 3 1 0
- 2θ = 30.80°, intensity 47.9, hkl 0 0 2
- 2θ = 33.10°, intensity 52.3, hkl 3 1 -2
- 2θ = 36.01°, intensity 29.8, hkl 0 2 0
- 2θ = 46.97°, intensity 22.9, hkl 6 0 0
- 2θ = 48.09°, intensity 27.5, hkl 0 2 2
- 2θ = 51.26°, intensity 28.4, hkl 3 1 2
- 2θ = 60.58°, intensity 33.7, hkl 3 3 0